(1)
Calculated powder X-ray diffraction pattern of Rb2NaSiAs2 for Cu Ka, from DFT lattice parameters and positions (GGA-PBE).
No peak broadening, texture or thermal motion is included.

Cell and atoms:
a b c (Å): 9.288 9.288 9.288
angles (deg): 135.26 62.96 138.10
Fractional coordinates of all 12 atoms:
Rb (0.174, 0.248, 0.422)
Rb (0.326, 0.748, 0.074)
Rb (0.674, 0.252, 0.926)
Rb (0.826, 0.752, 0.578)
Na (0.250, 0.250, 0.000)
Na (0.750, 0.750, 0.000)
Si (0.250, 0.750, 0.500)
Si (0.750, 0.250, 0.500)
As (0.084, 0.696, 0.779)
As (0.416, 0.196, 0.612)
As (0.584, 0.804, 0.388)
As (0.916, 0.304, 0.221)

Most intense lines, 2θ from 10° to 90°, low angle first:
- 13.72 deg, intensity 9
- 25.19 deg, intensity 23
- 26.85 deg, intensity 26
- 29.13 deg, intensity 100
- 33.99 deg, intensity 12
- 35.27 deg, intensity 12
- 37.15 deg, intensity 35
- 46.90 deg, intensity 16
- 48.86 deg, intensity 22
- 49.75 deg, intensity 14

=====

(2)
Calculated powder X-ray diffraction pattern of Na4As2Ru for Cu Ka, from DFT lattice parameters and positions (GGA-PBE).
No peak broadening, texture or thermal motion is included.

Cell and atoms:
a b c (Å): 8.031 8.031 8.031
angles (deg): 138.50 138.50 60.14
Fractional coordinates of all 7 atoms:
Na (0.000, 0.500, 0.500)
Na (0.208, 0.208, 0.000)
Na (0.500, 0.000, 0.500)
Na (0.792, 0.792, 0.000)
As (0.415, 0.415, 0.000)
As (0.585, 0.585, 0.000)
Ru (0.000, 0.000, 0.000)

Most intense lines, 2θ from 10° to 90°, low angle first:
- 12.74 deg, intensity 91
- 22.09 deg, intensity 100
- 31.44 deg, intensity 77
- 34.05 deg, intensity 33
- 35.95 deg, intensity 71
- 45.06 deg, intensity 28
- 48.50 deg, intensity 59
- 50.73 deg, intensity 21
- 68.35 deg, intensity 20
- 77.18 deg, intensity 20

=====

(3)
Calculated powder X-ray diffraction pattern of NaAsS3 for Cu Ka, from DFT lattice parameters and positions (GGA-PBE).
No peak broadening, texture or thermal motion is included.

Cell and atoms:
a b c (Å): 4.744 5.851 9.969
angles (deg): 90.00 92.07 90.00
Fractional coordinates of all 10 atoms:
Na (0.197, 0.000, 0.344)
Na (0.803, 0.500, 0.656)
As (0.187, 0.042, 0.709)
As (0.813, 0.542, 0.291)
S (0.123, 0.380, 0.139)
S (0.310, 0.747, 0.592)
S (0.422, 0.631, 0.143)
S (0.578, 0.131, 0.857)
S (0.690, 0.247, 0.408)
S (0.877, 0.880, 0.861)

Most intense lines, 2θ from 10° to 90°, low angle first:
- 17.58 deg, intensity 100
- 17.81 deg, intensity 35
- 24.16 deg, intensity 23
- 26.03 deg, intensity 29
- 26.42 deg, intensity 29
- 29.76 deg, intensity 40
- 30.58 deg, intensity 18
- 36.95 deg, intensity 26
- 41.10 deg, intensity 21
- 50.62 deg, intensity 23

=====

(4)
Calculated powder X-ray diffraction pattern of Na7AsS6 for Cu Ka, from DFT lattice parameters and positions (GGA-PBE).
No peak broadening, texture or thermal motion is included.

Cell and atoms:
a b c (Å): 10.775 10.775 10.775
angles (deg): 141.35 101.45 91.17
Fractional coordinates of all 28 atoms:
Na (0.031, 0.208, 0.239)
Na (0.112, 0.511, 0.840)
Na (0.171, 0.011, 0.399)
Na (0.250, 0.250, 0.000)
Na (0.329, 0.728, 0.840)
Na (0.388, 0.228, 0.399)
Na (0.469, 0.708, 0.177)
Na (0.531, 0.292, 0.823)
Na (0.612, 0.772, 0.601)
Na (0.671, 0.272, 0.160)
Na (0.750, 0.750, 0.000)
Na (0.829, 0.989, 0.601)
Na (0.888, 0.489, 0.160)
Na (0.969, 0.792, 0.761)
As (0.250, 0.750, 0.500)
As (0.750, 0.250, 0.500)
S (0.075, 0.853, 0.587)
S (0.159, 0.905, 0.064)
S (0.234, 0.647, 0.222)
S (0.266, 0.488, 0.413)
S (0.341, 0.405, 0.746)
S (0.425, 0.012, 0.778)
S (0.575, 0.988, 0.222)
S (0.659, 0.595, 0.254)
S (0.734, 0.512, 0.587)
S (0.766, 0.353, 0.778)
S (0.841, 0.095, 0.936)
S (0.925, 0.147, 0.413)

Most intense lines, 2θ from 10° to 90°, low angle first:
- 14.01 deg, intensity 31
- 17.53 deg, intensity 68
- 18.32 deg, intensity 100
- 25.30 deg, intensity 48
- 27.02 deg, intensity 44
- 29.63 deg, intensity 40
- 30.67 deg, intensity 35
- 33.33 deg, intensity 28
- 38.42 deg, intensity 33
- 39.69 deg, intensity 27

=====

(5)
Calculated powder X-ray diffraction pattern of Na2SbAsS4 for Cu Ka, from DFT lattice parameters and positions (GGA-PBE).
No peak broadening, texture or thermal motion is included.

Cell and atoms:
a b c (Å): 7.604 7.604 7.604
angles (deg): 132.21 132.21 69.90
Fractional coordinates of all 8 atoms:
Na (0.000, 0.000, 0.000)
Na (0.750, 0.250, 0.500)
Sb (0.500, 0.500, 0.000)
As (0.250, 0.750, 0.500)
S (0.158, 0.632, 0.051)
S (0.368, 0.419, 0.526)
S (0.581, 0.107, 0.949)
S (0.893, 0.842, 0.474)

Most intense lines, 2θ from 10° to 90°, low angle first:
- 16.05 deg, intensity 56
- 24.94 deg, intensity 100
- 33.31 deg, intensity 12
- 39.24 deg, intensity 12
- 41.21 deg, intensity 44
- 41.46 deg, intensity 21
- 48.55 deg, intensity 15
- 48.99 deg, intensity 28
- 65.71 deg, intensity 11
- 75.45 deg, intensity 12

=====

(6)
Calculated powder X-ray diffraction pattern of NaSiAsS4 for Cu Ka, from DFT lattice parameters and positions (GGA-PBE).
No peak broadening, texture or thermal motion is included.

Cell and atoms:
a b c (Å): 6.637 6.637 8.409
angles (deg): 90.00 90.00 111.32
Fractional coordinates of all 14 atoms:
Na (0.000, 0.000, 0.000)
Na (0.000, 0.000, 0.500)
Si (0.371, 0.629, 0.750)
Si (0.629, 0.371, 0.250)
As (0.342, 0.658, 0.250)
As (0.658, 0.342, 0.750)
S (0.263, 0.737, 0.546)
S (0.263, 0.737, 0.954)
S (0.278, 0.293, 0.250)
S (0.293, 0.278, 0.750)
S (0.707, 0.722, 0.250)
S (0.722, 0.707, 0.750)
S (0.737, 0.263, 0.046)
S (0.737, 0.263, 0.454)

Most intense lines, 2θ from 10° to 90°, low angle first:
- 14.33 deg, intensity 77
- 21.13 deg, intensity 38
- 23.77 deg, intensity 61
- 25.62 deg, intensity 100
- 27.16 deg, intensity 70
- 28.88 deg, intensity 71
- 35.15 deg, intensity 41
- 43.02 deg, intensity 35
- 43.93 deg, intensity 37
- 46.40 deg, intensity 90

=====

(7)
Calculated powder X-ray diffraction pattern of Na2TbAsS4 for Cu Ka, from DFT lattice parameters and positions (GGA-PBE).
No peak broadening, texture or thermal motion is included.

Cell and atoms:
a b c (Å): 6.763 3.902 7.034
angles (deg): 90.00 108.69 90.00
Fractional coordinates of all 8 atoms:
Na (0.000, 0.000, 0.000)
Na (0.500, 0.500, 0.000)
Tb (0.000, 0.500, 0.500)
As (0.500, 0.000, 0.500)
S (0.254, 0.000, 0.724)
S (0.272, 0.500, 0.282)
S (0.728, 0.500, 0.718)
S (0.746, 0.000, 0.276)

Most intense lines, 2θ from 10° to 90°, low angle first:
- 13.29 deg, intensity 71
- 26.75 deg, intensity 36
- 27.86 deg, intensity 19
- 31.96 deg, intensity 100
- 41.39 deg, intensity 16
- 45.12 deg, intensity 35
- 46.53 deg, intensity 34
- 57.57 deg, intensity 25
- 74.95 deg, intensity 16
- 77.04 deg, intensity 17

=====

(8)
Calculated powder X-ray diffraction pattern of NaTlAsS4 for Cu Ka, from DFT lattice parameters and positions (GGA-PBE).
No peak broadening, texture or thermal motion is included.

Cell and atoms:
a b c (Å): 7.844 7.844 7.844
angles (deg): 120.34 119.18 90.42
Fractional coordinates of all 14 atoms:
Na (0.500, 0.000, 0.000)
Na (0.500, 0.500, 0.500)
Tl (0.000, 0.000, 0.000)
Tl (0.500, 0.000, 0.500)
As (0.121, 0.371, 0.750)
As (0.879, 0.629, 0.250)
S (0.219, 0.737, 0.481)
S (0.243, 0.256, 0.513)
S (0.243, 0.730, 0.987)
S (0.244, 0.263, 0.981)
S (0.756, 0.737, 0.019)
S (0.757, 0.270, 0.013)
S (0.757, 0.744, 0.487)
S (0.781, 0.263, 0.519)

Most intense lines, 2θ from 10° to 90°, low angle first:
- 13.89 deg, intensity 60
- 16.04 deg, intensity 36
- 22.79 deg, intensity 36
- 26.45 deg, intensity 100
- 26.75 deg, intensity 71
- 32.17 deg, intensity 36
- 36.14 deg, intensity 22
- 42.34 deg, intensity 24
- 42.53 deg, intensity 30
- 46.31 deg, intensity 61

=====

(9)
Calculated powder X-ray diffraction pattern of Na3SbAs for Cu Ka, from DFT lattice parameters and positions (GGA-PBE).
No peak broadening, texture or thermal motion is included.

Cell and atoms:
a b c (Å): 7.335 7.213 10.328
angles (deg): 90.00 99.98 90.00
Fractional coordinates of all 20 atoms:
Na (0.080, 0.153, 0.407)
Na (0.080, 0.347, 0.907)
Na (0.207, 0.519, 0.627)
Na (0.207, 0.981, 0.127)
Na (0.338, 0.016, 0.741)
Na (0.338, 0.484, 0.241)
Na (0.662, 0.516, 0.759)
Na (0.662, 0.984, 0.259)
Na (0.793, 0.019, 0.873)
Na (0.793, 0.481, 0.373)
Na (0.920, 0.653, 0.093)
Na (0.920, 0.847, 0.593)
Sb (0.479, 0.706, 0.992)
Sb (0.479, 0.794, 0.492)
Sb (0.521, 0.206, 0.508)
Sb (0.521, 0.294, 0.008)
As (0.123, 0.748, 0.871)
As (0.123, 0.752, 0.371)
As (0.877, 0.248, 0.629)
As (0.877, 0.252, 0.129)

Most intense lines, 2θ from 10° to 90°, low angle first:
- 17.41 deg, intensity 96
- 19.53 deg, intensity 85
- 24.67 deg, intensity 72
- 30.36 deg, intensity 72
- 31.67 deg, intensity 100
- 32.80 deg, intensity 54
- 35.16 deg, intensity 44
- 35.33 deg, intensity 46
- 38.49 deg, intensity 63
- 41.50 deg, intensity 51

=====

(10)
Calculated powder X-ray diffraction pattern of Na2AsSe2 for Cu Ka, from DFT lattice parameters and positions (GGA-PBE).
No peak broadening, texture or thermal motion is included.

Cell and atoms:
a b c (Å): 9.818 9.818 6.069
angles (deg): 90.00 90.00 153.82
Fractional coordinates of all 10 atoms:
Na (0.028, 0.972, 0.500)
Na (0.195, 0.805, 0.252)
Na (0.805, 0.195, 0.752)
Na (0.972, 0.028, 0.000)
As (0.382, 0.618, 0.290)
As (0.618, 0.382, 0.790)
Se (0.184, 0.816, 0.759)
Se (0.417, 0.583, 0.679)
Se (0.583, 0.417, 0.179)
Se (0.816, 0.184, 0.259)

Most intense lines, 2θ from 10° to 90°, low angle first:
- 17.31 deg, intensity 33
- 18.56 deg, intensity 28
- 20.50 deg, intensity 16
- 23.69 deg, intensity 34
- 28.55 deg, intensity 15
- 29.43 deg, intensity 34
- 30.84 deg, intensity 100
- 40.57 deg, intensity 35
- 43.15 deg, intensity 39
- 49.88 deg, intensity 16

=====

(11)
Calculated powder X-ray diffraction pattern of Na5As2Se6 for Cu Ka, from DFT lattice parameters and positions (GGA-PBE).
No peak broadening, texture or thermal motion is included.

Cell and atoms:
a b c (Å): 11.641 12.999 4.713
angles (deg): 90.00 90.00 90.00
Fractional coordinates of all 26 atoms:
Na (0.000, 0.000, 0.000)
Na (0.032, 0.265, 0.000)
Na (0.198, 0.531, 0.000)
Na (0.302, 0.031, 0.000)
Na (0.468, 0.765, 0.000)
Na (0.500, 0.500, 0.000)
Na (0.532, 0.235, 0.000)
Na (0.698, 0.969, 0.000)
Na (0.802, 0.469, 0.000)
Na (0.968, 0.735, 0.000)
As (0.221, 0.729, 0.500)
As (0.279, 0.229, 0.500)
As (0.721, 0.771, 0.500)
As (0.779, 0.271, 0.500)
Se (0.063, 0.609, 0.500)
Se (0.114, 0.113, 0.500)
Se (0.216, 0.813, 0.000)
Se (0.284, 0.313, 0.000)
Se (0.386, 0.613, 0.500)
Se (0.437, 0.109, 0.500)
Se (0.563, 0.891, 0.500)
Se (0.614, 0.387, 0.500)
Se (0.716, 0.687, 0.000)
Se (0.784, 0.187, 0.000)
Se (0.886, 0.887, 0.500)
Se (0.937, 0.391, 0.500)

Most intense lines, 2θ from 10° to 90°, low angle first:
- 13.62 deg, intensity 38
- 20.48 deg, intensity 39
- 24.55 deg, intensity 100
- 26.76 deg, intensity 45
- 31.52 deg, intensity 23
- 36.98 deg, intensity 37
- 38.19 deg, intensity 49
- 40.98 deg, intensity 25
- 46.10 deg, intensity 22
- 52.10 deg, intensity 22

=====

(12)
Calculated powder X-ray diffraction pattern of Na5As2Se5 for Cu Ka, from DFT lattice parameters and positions (GGA-PBE).
No peak broadening, texture or thermal motion is included.

Cell and atoms:
a b c (Å): 6.865 6.865 11.870
angles (deg): 108.55 108.55 37.81
Fractional coordinates of all 12 atoms:
Na (0.000, 0.000, 0.000)
Na (0.152, 0.152, 0.539)
Na (0.238, 0.238, 0.853)
Na (0.762, 0.762, 0.147)
Na (0.848, 0.848, 0.461)
As (0.450, 0.450, 0.712)
As (0.550, 0.550, 0.288)
Se (0.162, 0.162, 0.286)
Se (0.393, 0.393, 0.101)
Se (0.500, 0.500, 0.500)
Se (0.607, 0.607, 0.899)
Se (0.838, 0.838, 0.714)

Most intense lines, 2θ from 10° to 90°, low angle first:
- 21.25 deg, intensity 70
- 23.41 deg, intensity 69
- 24.93 deg, intensity 50
- 28.78 deg, intensity 53
- 29.72 deg, intensity 59
- 30.06 deg, intensity 100
- 32.05 deg, intensity 47
- 40.56 deg, intensity 65
- 45.07 deg, intensity 47
- 45.37 deg, intensity 88